[1]
Calculated powder XRD pattern
Compound: SmZnHPd2
Radiation: Cu Kα, 1.54184 Å
Structure: the PBE geometry in Alexandria
Intensities are scaled so that the largest is 100.

Top 8 peaks for 5 to 70 degrees two-theta, low angle first:
- 2θ = 33.79°, rel. 61
- 2θ = 34.22°, rel. 100
- 2θ = 34.98°, rel. 39
- 2θ = 35.89°, rel. 61
- 2θ = 39.57°, rel. 32
- 2θ = 40.87°, rel. 26
- 2θ = 43.80°, rel. 25
- 2θ = 46.86°, rel. 32

Cell and atoms:
abc: 5.791 5.791 7.520
angles: 90.00 90.00 140.88
Element x y z (fractional)
Sm1 0.051 0.949 0.750
Sm2 0.949 0.051 0.250
Zn1 0.230 0.770 0.250
Zn2 0.770 0.230 0.750
H1 0.500 0.500 0.000
H2 0.500 0.500 0.500
Pd1 0.346 0.654 0.553
Pd2 0.346 0.654 0.947
Pd3 0.654 0.346 0.053
Pd4 0.654 0.346 0.447



[2]
Calculated powder XRD pattern
Compound: La3Nd8Ho2
Radiation: Cu Kα, 1.54184 Å
Structure: the PBE geometry in Alexandria
Intensities are scaled so that the largest is 100.

Top 8 peaks for 5 to 70 degrees two-theta, low angle first:
- 2θ = 29.82°, rel. 100
- 2θ = 29.97°, rel. 79
- 2θ = 30.37°, rel. 46
- 2θ = 30.49°, rel. 46
- 2θ = 31.19°, rel. 84
- 2θ = 32.07°, rel. 42
- 2θ = 32.16°, rel. 33
- 2θ = 32.90°, rel. 39

Cell and atoms:
abc: 8.640 8.925 12.042
angles: 89.99 89.78 86.08
Element x y z (fractional)
La1 0.000 0.000 0.000
La2 0.174 0.605 0.282
La3 0.325 0.896 0.782
La4 0.500 0.500 0.500
La5 0.675 0.104 0.218
La6 0.826 0.395 0.718
Nd1 0.063 0.031 0.293
Nd2 0.118 0.629 0.940
Nd3 0.119 0.616 0.605
Nd4 0.148 0.249 0.837
Nd5 0.352 0.252 0.338
Nd6 0.382 0.884 0.104
Nd7 0.384 0.871 0.437
Nd8 0.440 0.470 0.796
Nd9 0.560 0.530 0.204
Nd10 0.616 0.129 0.563
Nd11 0.618 0.116 0.896
Nd12 0.648 0.748 0.662
Nd13 0.852 0.751 0.163
Nd14 0.881 0.384 0.395
Nd15 0.882 0.371 0.060
Nd16 0.937 0.969 0.707
Ho1 0.188 0.205 0.571
Ho2 0.308 0.293 0.072
Ho3 0.692 0.707 0.928
Ho4 0.812 0.795 0.429



[3]
Calculated powder XRD pattern
Compound: K2Na15Tl2
Radiation: Cu Kα, 1.54184 Å
Structure: the PBE geometry in Alexandria
Intensities are scaled so that the largest is 100.

Top 8 peaks for 5 to 70 degrees two-theta, low angle first:
- 2θ = 9.74°, rel. 100
- 2θ = 14.33°, rel. 73
- 2θ = 22.36°, rel. 52
- 2θ = 24.96°, rel. 53
- 2θ = 28.89°, rel. 46
- 2θ = 29.52°, rel. 36
- 2θ = 30.40°, rel. 59
- 2θ = 36.84°, rel. 32

Cell and atoms:
abc: 9.139 9.139 9.139
angles: 85.10 85.10 85.10
Element x y z (fractional)
K1 0.134 0.134 0.134
K2 0.866 0.866 0.866
Na1 0.000 0.000 0.500
Na2 0.000 0.352 0.648
Na3 0.000 0.500 0.000
Na4 0.000 0.648 0.352
Na5 0.213 0.658 0.658
Na6 0.342 0.342 0.787
Na7 0.342 0.787 0.342
Na8 0.352 0.000 0.648
Na9 0.352 0.648 0.000
Na10 0.500 0.000 0.000
Na11 0.648 0.000 0.352
Na12 0.648 0.352 0.000
Na13 0.658 0.213 0.658
Na14 0.658 0.658 0.213
Na15 0.787 0.342 0.342
Tl1 0.382 0.382 0.382
Tl2 0.618 0.618 0.618



[4]
Calculated powder XRD pattern
Compound: UPbSe2O8
Radiation: Cu Kα, 1.54184 Å
Structure: the PBE geometry in Alexandria
Intensities are scaled so that the largest is 100.

Top 8 peaks for 5 to 70 degrees two-theta, low angle first:
- 2θ = 14.35°, rel. 16
- 2θ = 16.15°, rel. 13
- 2θ = 20.65°, rel. 18
- 2θ = 22.01°, rel. 16
- 2θ = 25.68°, rel. 100
- 2θ = 29.78°, rel. 22
- 2θ = 43.15°, rel. 13
- 2θ = 50.43°, rel. 17

Cell and atoms:
abc: 12.000 6.171 11.730
angles: 90.00 90.00 90.00
Element x y z (fractional)
U1 0.247 0.007 0.000
U2 0.247 0.993 0.500
U3 0.753 0.007 0.000
U4 0.753 0.993 0.500
Pb1 0.000 0.494 0.065
Pb2 0.000 0.506 0.565
Pb3 0.500 0.067 0.259
Pb4 0.500 0.933 0.759
Se1 0.000 0.154 0.311
Se2 0.000 0.846 0.811
Se3 0.269 0.340 0.725
Se4 0.269 0.660 0.225
Se5 0.500 0.382 0.985
Se6 0.500 0.618 0.485
Se7 0.731 0.340 0.725
Se8 0.731 0.660 0.225
O1 0.000 0.413 0.262
O2 0.000 0.587 0.762
O3 0.109 0.170 0.409
O4 0.109 0.830 0.909
O5 0.148 0.178 0.081
O6 0.148 0.822 0.581
O7 0.164 0.290 0.626
O8 0.164 0.710 0.126
O9 0.220 0.236 0.851
O10 0.220 0.764 0.351
O11 0.349 0.152 0.417
O12 0.349 0.848 0.917
O13 0.350 0.130 0.669
O14 0.350 0.870 0.169
O15 0.388 0.251 0.050
O16 0.388 0.749 0.550
O17 0.500 0.288 0.848
O18 0.500 0.712 0.348
O19 0.612 0.251 0.050
O20 0.612 0.749 0.550
O21 0.650 0.130 0.669
O22 0.650 0.870 0.169
O23 0.651 0.152 0.417
O24 0.651 0.848 0.917
O25 0.780 0.236 0.851
O26 0.780 0.764 0.351
O27 0.836 0.290 0.626
O28 0.836 0.710 0.126
O29 0.852 0.178 0.081
O30 0.852 0.822 0.581
O31 0.891 0.170 0.409
O32 0.891 0.830 0.909



[5]
Calculated powder XRD pattern
Compound: KAc6Te8
Radiation: Cu Kα, 1.54184 Å
Structure: the PBE geometry in Alexandria
Intensities are scaled so that the largest is 100.

Top 8 peaks for 5 to 70 degrees two-theta, low angle first:
- 2θ = 13.24°, rel. 14
- 2θ = 18.76°, rel. 13
- 2θ = 26.66°, rel. 100
- 2θ = 38.06°, rel. 78
- 2θ = 47.07°, rel. 29
- 2θ = 54.91°, rel. 14
- 2θ = 62.06°, rel. 37
- 2θ = 68.76°, rel. 27

Cell and atoms:
abc: 9.458 9.458 9.458
angles: 60.00 60.00 60.00
Element x y z (fractional)
K1 0.000 0.000 0.000
Ac1 0.000 0.000 0.500
Ac2 0.000 0.500 0.000
Ac3 0.000 0.500 0.500
Ac4 0.500 0.000 0.000
Ac5 0.500 0.000 0.500
Ac6 0.500 0.500 0.000
Te1 0.250 0.250 0.250
Te2 0.258 0.258 0.742
Te3 0.258 0.742 0.258
Te4 0.258 0.742 0.742
Te5 0.742 0.258 0.258
Te6 0.742 0.258 0.742
Te7 0.742 0.742 0.258
Te8 0.750 0.750 0.750



[6]
Calculated powder XRD pattern
Compound: SiAs2Pd2
Radiation: Cu Kα, 1.54184 Å
Structure: the PBE geometry in Alexandria
Intensities are scaled so that the largest is 100.

Top 8 peaks for 5 to 70 degrees two-theta, low angle first:
- 2θ = 15.57°, rel. 50
- 2θ = 23.49°, rel. 25
- 2θ = 32.47°, rel. 14
- 2θ = 35.32°, rel. 80
- 2θ = 45.13°, rel. 100
- 2θ = 45.83°, rel. 15
- 2θ = 48.01°, rel. 19
- 2θ = 68.00°, rel. 15

Cell and atoms:
abc: 6.359 6.359 6.359
angles: 143.18 143.18 53.05
Element x y z (fractional)
Si1 0.000 0.000 0.000
As1 0.390 0.390 0.000
As2 0.610 0.610 0.000
Pd1 0.250 0.750 0.500
Pd2 0.750 0.250 0.500



[7]
Calculated powder XRD pattern
Compound: Ce2Al9Rh3
Radiation: Cu Kα, 1.54184 Å
Structure: the PBE geometry in Alexandria
Intensities are scaled so that the largest is 100.

Top 8 peaks for 5 to 70 degrees two-theta, low angle first:
- 2θ = 25.18°, rel. 44
- 2θ = 29.94°, rel. 49
- 2θ = 30.10°, rel. 100
- 2θ = 36.97°, rel. 64
- 2θ = 38.00°, rel. 43
- 2θ = 40.78°, rel. 90
- 2θ = 41.13°, rel. 43
- 2θ = 56.96°, rel. 39

Cell and atoms:
abc: 7.624 7.624 9.471
angles: 90.00 90.00 60.54
Element x y z (fractional)
Ce1 0.003 0.672 0.750
Ce2 0.328 0.997 0.750
Ce3 0.672 0.003 0.250
Ce4 0.997 0.328 0.250
Al1 0.003 0.664 0.076
Al2 0.003 0.664 0.424
Al3 0.130 0.870 0.250
Al4 0.334 0.666 0.550
Al5 0.334 0.666 0.950
Al6 0.336 0.997 0.076
Al7 0.336 0.997 0.424
Al8 0.342 0.450 0.250
Al9 0.450 0.342 0.750
Al10 0.550 0.658 0.250
Al11 0.658 0.550 0.750
Al12 0.664 0.003 0.576
Al13 0.664 0.003 0.924
Al14 0.666 0.334 0.050
Al15 0.666 0.334 0.450
Al16 0.870 0.130 0.750
Al17 0.997 0.336 0.576
Al18 0.997 0.336 0.924
Rh1 0.000 0.000 0.000
Rh2 0.000 0.000 0.500
Rh3 0.328 0.328 0.000
Rh4 0.328 0.328 0.500
Rh5 0.672 0.672 0.000
Rh6 0.672 0.672 0.500



[8]
Calculated powder XRD pattern
Compound: Si3O7
Radiation: Cu Kα, 1.54184 Å
Structure: the PBE geometry in Alexandria
Intensities are scaled so that the largest is 100.

Top 8 peaks for 5 to 70 degrees two-theta, low angle first:
- 2θ = 13.01°, rel. 52
- 2θ = 13.34°, rel. 28
- 2θ = 15.46°, rel. 20
- 2θ = 16.23°, rel. 43
- 2θ = 16.59°, rel. 23
- 2θ = 20.09°, rel. 35
- 2θ = 20.84°, rel. 100
- 2θ = 26.68°, rel. 36

Cell and atoms:
abc: 6.913 7.246 7.257
angles: 104.52 98.12 101.37
Element x y z (fractional)
Si1 0.000 0.000 0.000
Si2 0.020 0.032 0.583
Si3 0.212 0.810 0.267
Si4 0.340 0.407 0.162
Si5 0.422 0.371 0.748
Si6 0.617 0.144 0.447
O1 0.079 0.826 0.070
O2 0.094 0.858 0.445
O3 0.172 0.203 0.108
O4 0.191 0.237 0.657
O5 0.236 0.587 0.226
O6 0.431 0.963 0.321
O7 0.458 0.417 0.985
O8 0.461 0.583 0.701
O9 0.506 0.435 0.368
O10 0.576 0.241 0.662
O11 0.656 0.319 0.332
O12 0.776 0.010 0.050
O13 0.822 0.069 0.462
O14 0.963 0.956 0.766



[9]
Calculated powder XRD pattern
Compound: Li4SnBi3
Radiation: Cu Kα, 1.54184 Å
Structure: the PBE geometry in Alexandria
Intensities are scaled so that the largest is 100.

Top 8 peaks for 5 to 70 degrees two-theta, low angle first:
- 2θ = 18.97°, rel. 18
- 2θ = 24.15°, rel. 100
- 2θ = 26.03°, rel. 50
- 2θ = 34.62°, rel. 27
- 2θ = 35.80°, rel. 83
- 2θ = 43.82°, rel. 26
- 2θ = 59.55°, rel. 18
- 2θ = 62.82°, rel. 17

Cell and atoms:
abc: 10.363 6.846 5.242
angles: 90.00 90.00 90.00
Element x y z (fractional)
Li1 0.000 0.241 0.000
Li2 0.000 0.759 0.000
Li3 0.250 0.244 0.401
Li4 0.250 0.756 0.401
Li5 0.500 0.241 0.000
Li6 0.500 0.759 0.000
Li7 0.750 0.244 0.599
Li8 0.750 0.756 0.599
Sn1 0.000 0.000 0.500
Sn2 0.500 0.000 0.500
Bi1 0.000 0.500 0.500
Bi2 0.250 0.000 0.912
Bi3 0.250 0.500 0.911
Bi4 0.500 0.500 0.500
Bi5 0.750 0.000 0.088
Bi6 0.750 0.500 0.089



[10]
Calculated powder XRD pattern
Compound: Dy2ZnGe2Ir5
Radiation: Cu Kα, 1.54184 Å
Structure: the PBE geometry in Alexandria
Intensities are scaled so that the largest is 100.

Top 8 peaks for 5 to 70 degrees two-theta, low angle first:
- 2θ = 32.30°, rel. 30
- 2θ = 36.16°, rel. 21
- 2θ = 38.26°, rel. 58
- 2θ = 38.55°, rel. 100
- 2θ = 39.41°, rel. 24
- 2θ = 41.91°, rel. 40
- 2θ = 50.67°, rel. 25
- 2θ = 65.23°, rel. 25

Cell and atoms:
abc: 9.699 9.699 3.603
angles: 90.00 90.00 90.00
Element x y z (fractional)
Dy1 0.173 0.327 0.000
Dy2 0.327 0.827 0.000
Dy3 0.673 0.173 0.000
Dy4 0.827 0.673 0.000
Zn1 0.000 0.000 0.000
Zn2 0.500 0.500 0.000
Ge1 0.127 0.627 0.000
Ge2 0.373 0.127 0.000
Ge3 0.627 0.873 0.000
Ge4 0.873 0.373 0.000
Ir1 0.000 0.500 0.500
Ir2 0.065 0.796 0.500
Ir3 0.204 0.065 0.500
Ir4 0.296 0.565 0.500
Ir5 0.435 0.296 0.500
Ir6 0.500 0.000 0.500
Ir7 0.565 0.704 0.500
Ir8 0.704 0.435 0.500
Ir9 0.796 0.935 0.500
Ir10 0.935 0.204 0.500



[11]
Calculated powder XRD pattern
Compound: AcAlZnAg6
Radiation: Cu Kα, 1.54184 Å
Structure: the PBE geometry in Alexandria
Intensities are scaled so that the largest is 100.

Top 8 peaks for 5 to 70 degrees two-theta, low angle first:
- 2θ = 24.30°, rel. 30
- 2θ = 24.65°, rel. 18
- 2θ = 29.45°, rel. 44
- 2θ = 29.64°, rel. 87
- 2θ = 41.83°, rel. 26
- 2θ = 42.27°, rel. 100
- 2θ = 42.99°, rel. 24
- 2θ = 51.98°, rel. 17

Cell and atoms:
abc: 8.553 8.553 8.553
angles: 121.07 119.34 89.65
Element x y z (fractional)
Ac1 0.381 0.131 0.250
Ac2 0.619 0.869 0.750
Al1 0.000 0.000 0.500
Al2 0.000 0.500 0.000
Zn1 0.000 0.500 0.500
Zn2 0.500 0.500 0.000
Ag1 0.115 0.385 0.248
Ag2 0.115 0.867 0.730
Ag3 0.119 0.869 0.250
Ag4 0.363 0.133 0.748
Ag5 0.363 0.613 0.750
Ag6 0.363 0.615 0.230
Ag7 0.637 0.385 0.770
Ag8 0.637 0.387 0.250
Ag9 0.637 0.867 0.252
Ag10 0.881 0.131 0.750
Ag11 0.885 0.133 0.270
Ag12 0.885 0.615 0.752